Starting from DFT lattice parameters and positions (GGA-PBE), the X-ray diffraction stick pattern of ZnB2Ir2 was computed for Cu Ka.
Lines closer than 0.1° are merged.

Cell and atoms:
a = 2.994 Å, b = 2.994 Å, c = 12.720 Å
α = 90.00°, β = 90.00°, γ = 90.00°
Space group I4/mmm (No. 139)
Unique sites:
Zn: 0.000 0.000 0.000
B: 0.000 0.500 0.250
Ir: 0.000 0.000 0.372

The 12 most intense peaks (2θ = 5–70°), most intense first:
(hkl)	two_theta	d/Å	I (rel.)
1 0 3	36.7	2.446	100
1 1 0	42.7	2.117	51
1 0 1	30.7	2.914	47
1 0 5	46.9	1.939	40
0 0 4	28.1	3.180	33
1 1 4	51.9	1.762	31
2 0 0	62.0	1.497	21
0 0 8	58.0	1.590	11
2 0 4	69.4	1.354	11
1 0 7	59.5	1.553	11
0 0 2	13.9	6.360	3
1 1 2	45.1	2.009	2